Simulated powder diffraction line list of U2B6Mo for CuKα, from a GGA-PBE-relaxed structure.
Intensities are scaled so that the largest is 100.

Principal peaks in the range 10 to 90 degrees two-theta, by angle:
2θ/deg, I/Imax, h k l
24.08, 100.0, 0 0 1
29.99, 52.2, 3 1 0
30.50, 48.4, 2 3 0
31.53, 27.0, 0 4 0
33.02, 24.3, 1 4 0
38.82, 64.9, 3 1 1
39.23, 54.5, 2 3 1
40.06, 33.0, 0 4 1
41.28, 31.1, 1 4 1
49.31, 21.5, 0 0 2

Crystal structure
```
data_U2B6Mo
_cell_length_a 9.2642
_cell_length_b 11.3516
_cell_length_c 3.6963
_cell_angle_alpha 90.00
_cell_angle_beta 90.00
_cell_angle_gamma 90.00
_symmetry_space_group_name_H-M 'P 1'
_symmetry_Int_Tables_number 1
_symmetry_space_group_name_Hall 'P 1'
loop_
_atom_site_label
_atom_site_type_symbol
_atom_site_fract_x
_atom_site_fract_y
_atom_site_fract_z
U1 U 0.0441 0.1056 0.0000
U2 U 0.1652 0.4077 0.0000
U3 U 0.3348 0.9077 0.0000
U4 U 0.4559 0.6056 0.0000
U5 U 0.5441 0.3944 0.0000
U6 U 0.6652 0.0923 0.0000
U7 U 0.8348 0.5923 0.0000
U8 U 0.9559 0.8944 0.0000
B1 B 0.0151 0.2816 0.5000
B2 B 0.0495 0.5667 0.5000
B3 B 0.1419 0.9608 0.5000
B4 B 0.1440 0.8127 0.5000
B5 B 0.1970 0.2274 0.5000
B6 B 0.2428 0.5758 0.5000
B7 B 0.2572 0.0758 0.5000
B8 B 0.3030 0.7274 0.5000
B9 B 0.3560 0.3127 0.5000
B10 B 0.3581 0.4608 0.5000
B11 B 0.4505 0.0667 0.5000
B12 B 0.4849 0.7816 0.5000
B13 B 0.5151 0.2184 0.5000
B14 B 0.5495 0.9333 0.5000
B15 B 0.6419 0.5392 0.5000
B16 B 0.6440 0.6873 0.5000
B17 B 0.6970 0.2726 0.5000
B18 B 0.7428 0.9242 0.5000
B19 B 0.7572 0.4242 0.5000
B20 B 0.8030 0.7726 0.5000
B21 B 0.8560 0.1873 0.5000
B22 B 0.8581 0.0392 0.5000
B23 B 0.9505 0.4333 0.5000
B24 B 0.9849 0.7184 0.5000
Mo1 Mo 0.1444 0.6799 0.0000
Mo2 Mo 0.3556 0.1799 0.0000
Mo3 Mo 0.6444 0.8201 0.0000
Mo4 Mo 0.8556 0.3201 0.0000
```